(1)
Tb3Al2Ga: theoretical powder X-ray diffraction pattern (λ = 1.5418 Å (Cu Kα)), based on a crystal structure in Alexandria, relaxed with PBE.

Cell and atoms:
Cell: 3.593 3.593 10.915 Å, 90.00 90.00 90.00°
Space group P4/mmm (No. 123)
Unique sites:
Tb1 0.000 0.000 0.000 [1 per cell]
Tb2 0.000 0.000 0.336 [2 per cell]
Al1 0.500 0.500 0.167 [2 per cell]
Ga1 0.500 0.500 0.500 [1 per cell]

Largest 10 diffraction maxima, by angle, 10 to 80 degrees two-theta:
(0 0 3), 2θ 24.5, intensity 21
(1 0 0), 2θ 24.8, intensity 40
(1 0 3), 2θ 35.1, intensity 100
(1 1 0), 2θ 35.3, intensity 49
(1 1 3), 2θ 43.4, intensity 18
(0 0 6), 2θ 50.1, intensity 9
(2 0 0), 2θ 50.8, intensity 17
(1 1 6), 2θ 62.8, intensity 18
(2 1 3), 2θ 63.3, intensity 36
(2 0 6), 2θ 74.2, intensity 11

(2)
NdBe13: theoretical powder X-ray diffraction pattern (λ = 1.5418 Å (Cu Kα)), based on a crystal structure in Alexandria, relaxed with PBE.

Cell and atoms:
Cell: 10.299 10.299 10.299 Å, 90.00 90.00 90.00°
Space group Fm-3c (No. 226)
Unique sites:
Nd1 0.250 0.250 0.250 [8 per cell]
Be1 0.000 0.000 0.000 [8 per cell]
Be2 0.000 0.113 0.176 [96 per cell]

Largest 10 diffraction maxima, by angle, 10 to 80 degrees two-theta:
(2 0 0), 2θ 17.2, intensity 87
(2 2 0), 2θ 24.4, intensity 100
(2 2 2), 2θ 30.1, intensity 45
(4 0 0), 2θ 34.8, intensity 23
(4 2 0), 2θ 39.1, intensity 72
(4 2 2), 2θ 43.0, intensity 61
(4 4 2), 2θ 53.4, intensity 22
(6 2 0), 2θ 56.5, intensity 26
(6 4 2), 2θ 68.1, intensity 28
(8 2 0), 2θ 76.2, intensity 20

(3)
Er7CdRu4: theoretical powder X-ray diffraction pattern (λ = 1.5418 Å (Cu Kα)), based on a crystal structure in Alexandria, relaxed with PBE.

Cell and atoms:
Cell: 13.510 5.394 9.588 Å, 90.00 126.31 90.00°
Space group C2/m (No. 12)
Unique sites:
Er1 0.000 0.000 0.000 [2 per cell]
Er2 0.075 0.500 0.372 [4 per cell]
Er3 0.180 0.000 0.632 [4 per cell]
Er4 0.215 0.500 0.877 [4 per cell]
Cd1 0.000 0.500 0.000 [2 per cell]
Ru1 0.065 0.000 0.777 [4 per cell]
Ru2 0.199 0.000 0.348 [4 per cell]

Largest 10 diffraction maxima, by angle, 10 to 80 degrees two-theta:
(1 1 -2), 2θ 25.5, intensity 16
(4 0 -1), 2θ 27.6, intensity 26
(4 0 -3), 2θ 30.6, intensity 21
(3 1 -3), 2θ 32.8, intensity 38
(0 2 0), 2θ 33.2, intensity 100
(3 1 1), 2θ 37.0, intensity 56
(5 1 -3), 2θ 38.7, intensity 42
(5 1 -1), 2θ 39.4, intensity 18
(4 2 -1), 2θ 43.7, intensity 17
(4 2 -3), 2θ 45.8, intensity 19

(4)
CeSmFe4: theoretical powder X-ray diffraction pattern (λ = 1.5418 Å (Cu Kα)), based on a crystal structure in Alexandria, relaxed with PBE.

Cell and atoms:
Cell: 7.311 7.311 7.311 Å, 90.00 90.00 90.00°
Space group F-43m (No. 216)
Unique sites:
Ce1 0.000 0.000 0.000 [4 per cell]
Sm1 0.250 0.250 0.750 [4 per cell]
Fe1 0.126 0.126 0.374 [16 per cell]

Largest 9 diffraction maxima, by angle, 10 to 80 degrees two-theta:
(1 1 1), 2θ 21.0, intensity 13
(2 2 0), 2θ 34.7, intensity 64
(3 1 1), 2θ 40.9, intensity 100
(2 2 2), 2θ 42.8, intensity 15
(3 3 1), 2θ 54.7, intensity 3
(4 2 2), 2θ 62.2, intensity 23
(5 1 1), 2θ 66.4, intensity 30
(4 4 0), 2θ 73.2, intensity 22
(5 3 1), 2θ 77.2, intensity 3

(5)
K2LiRhCl6: theoretical powder X-ray diffraction pattern (λ = 1.5418 Å (Cu Kα)), based on a crystal structure in Alexandria, relaxed with PBE.

Cell and atoms:
Cell: 6.995 9.893 6.995 Å, 90.00 90.00 90.00°
Space group Pmmn (No. 59, origin choice 2)
Unique sites:
K1 0.250 0.000 0.249 [4 per cell]
Li1 0.250 0.250 0.749 [2 per cell]
Rh1 0.250 0.750 0.750 [2 per cell]
Cl1 0.010 0.750 0.511 [4 per cell]
Cl2 0.010 0.750 0.990 [4 per cell]
Cl3 0.250 0.510 0.750 [4 per cell]

Largest 10 diffraction maxima, by angle, 10 to 80 degrees two-theta:
(1 1 0), 2θ 15.5, intensity 93
(1 0 1), 2θ 17.9, intensity 41
(2 0 0), 2θ 25.5, intensity 47
(2 1 1), 2θ 30.0, intensity 39
(2 2 0), 2θ 31.3, intensity 43
(2 0 2), 2θ 36.3, intensity 100
(3 2 1), 2θ 44.9, intensity 20
(0 5 1), 2θ 47.8, intensity 21
(4 0 0), 2θ 52.3, intensity 62
(4 4 0), 2θ 65.4, intensity 20

(6)
Ce2Er5Tm6: theoretical powder X-ray diffraction pattern (λ = 1.5418 Å (Cu Kα)), based on a crystal structure in Alexandria, relaxed with PBE.

Cell and atoms:
Cell: 11.271 20.388 3.492 Å, 90.00 90.00 90.00°
Space group Pbam (No. 55)
Unique sites:
Ce1 0.188 0.235 0.000 [4 per cell]
Er1 0.000 0.500 0.500 [2 per cell]
Er2 0.067 0.794 0.500 [4 per cell]
Er3 0.186 0.079 0.500 [4 per cell]
Tm1 0.067 0.647 0.000 [4 per cell]
Tm2 0.084 0.938 0.000 [4 per cell]
Tm3 0.184 0.376 0.500 [4 per cell]

Largest 10 diffraction maxima, by angle, 10 to 80 degrees two-theta:
(1 3 1), 2θ 29.8, intensity 35
(1 7 0), 2θ 31.7, intensity 60
(4 1 0), 2θ 32.1, intensity 100
(2 3 1), 2θ 32.9, intensity 83
(2 4 1), 2θ 35.0, intensity 50
(3 6 0), 2θ 35.6, intensity 24
(3 3 1), 2θ 37.6, intensity 21
(0 0 2), 2θ 52.4, intensity 19
(1 10 1), 2θ 52.6, intensity 17
(4 1 2), 2θ 62.8, intensity 19

(7)
Cs2AlSeBr6: theoretical powder X-ray diffraction pattern (λ = 1.5418 Å (Cu Kα)), based on a crystal structure in Alexandria, relaxed with PBE.

Cell and atoms:
Cell: 8.290 8.290 10.771 Å, 90.00 90.00 90.00°
Space group I4/mmm (No. 139)
Unique sites:
Cs1 0.000 0.500 0.250 [4 per cell]
Al1 0.000 0.000 0.000 [2 per cell]
Se1 0.000 0.000 0.500 [2 per cell]
Br1 0.000 0.000 0.262 [4 per cell]
Br2 0.210 0.210 0.000 [8 per cell]

Largest 10 diffraction maxima, by angle, 10 to 80 degrees two-theta:
(2 0 0), 2θ 21.4, intensity 14
(1 1 2), 2θ 22.4, intensity 22
(2 0 2), 2θ 27.1, intensity 100
(2 2 0), 2θ 30.5, intensity 61
(0 0 4), 2θ 33.3, intensity 29
(3 0 1), 2θ 33.5, intensity 13
(4 0 0), 2θ 43.7, intensity 18
(2 2 4), 2θ 45.8, intensity 38
(4 2 2), 2θ 52.2, intensity 19
(4 0 4), 2θ 56.0, intensity 17

(8)
HoMg2Ga6: theoretical powder X-ray diffraction pattern (λ = 1.5418 Å (Cu Kα)), based on a crystal structure in Alexandria, relaxed with PBE.

Cell and atoms:
Cell: 7.7745 7.7745 3.3097 Å, 90.00 90.00 120.00°
Space group P6/mmm (No. 191)
Unique sites:
Ho1 0.0000 0.0000 0.0000 [1 per cell]
Mg1 0.3333 0.6667 0.0000 [2 per cell]
Ga1 0.0000 0.3369 0.5000 [6 per cell]

Largest 10 diffraction maxima, by angle, 10 to 80 degrees two-theta:
(1 0 0), 2θ 13.1, intensity 48
(2 0 0), 2θ 26.5, intensity 12
(1 0 1), 2θ 30.1, intensity 17
(1 1 1), 2θ 35.6, intensity 100
(3 0 0), 2θ 40.2, intensity 81
(3 0 1), 2θ 49.0, intensity 11
(2 2 1), 2θ 54.8, intensity 28
(4 1 1), 2θ 70.1, intensity 27
(3 0 2), 2θ 70.7, intensity 29
(3 3 0), 2θ 73.0, intensity 13